No. 1
Diffraction record for GaNi2AsO6. The X-ray powder pattern is theoretical, not measured: it uses a cell relaxed with PBE+U and Cu Kα, 1.54184 Å.
No peak broadening, texture or thermal motion is included.

The 8 most intense peaks (10° ≤ 2θ ≤ 80°), in order of falling intensity:
2θ = 31.44°, d = 2.845 Å, intensity 100
2θ = 35.78°, d = 2.510 Å, intensity 35
2θ = 18.65°, d = 4.759 Å, intensity 31
2θ = 61.59°, d = 1.506 Å, intensity 27
2θ = 51.50°, d = 1.775 Å, intensity 26
2θ = 45.92°, d = 1.976 Å, intensity 24
2θ = 53.03°, d = 1.727 Å, intensity 19
2θ = 70.19°, d = 1.341 Å, intensity 13

Structural model:
```
GaNi2AsO6
1.0
5.0194 0.0000 0.0000
0.0000 5.0194 0.0000
0.0000 0.0000 4.7588
Ga Ni As O
1 2 1 6
Cartesian
0.0000 0.0000 0.0000 Ga
0.0000 2.5097 1.9090 Ni
2.5097 0.0000 1.9090 Ni
2.5097 2.5097 0.2183 As
0.0000 0.0000 2.9829 O
1.2869 1.2869 0.8783 O
1.2869 3.7325 0.8783 O
2.5097 2.5097 3.2932 O
3.7325 1.2869 0.8783 O
3.7325 3.7325 0.8783 O
```

***

No. 2
Diffraction record for GaNiAs2O8. The X-ray powder pattern is theoretical, not measured: it uses a cell relaxed with PBE+U and Cu Kα, 1.54184 Å.
No peak broadening, texture or thermal motion is included.

The 8 most intense peaks (10° ≤ 2θ ≤ 80°), in order of falling intensity:
2θ = 27.22°, d = 3.276 Å, intensity 100
2θ = 34.50°, d = 2.600 Å, intensity 75
2θ = 52.94°, d = 1.730 Å, intensity 62
2θ = 67.59°, d = 1.386 Å, intensity 19
2θ = 56.15°, d = 1.638 Å, intensity 17
2θ = 38.87°, d = 2.317 Å, intensity 15
2θ = 65.97°, d = 1.416 Å, intensity 14
2θ = 63.49°, d = 1.465 Å, intensity 12

Structural model:
```
GaNiAs2O8
1.0
-3.2763 3.2763 3.1405
3.2763 -3.2763 3.1405
3.2763 3.2763 -3.1405
Ga Ni As O
1 1 2 8
Cartesian
0.0000 0.0000 0.0000 Ga
3.2763 0.0000 1.5702 Ni
0.0000 0.0000 3.1405 As
0.0000 3.2763 1.5702 As
2.0297 3.2763 -1.1900 O
1.2467 0.0000 1.9504 O
0.0000 1.9934 0.4247 O
3.2763 2.0297 1.1900 O
0.0000 4.5593 0.4247 O
0.0000 1.2467 4.3305 O
-1.2829 3.2763 2.7158 O
1.2829 3.2763 2.7158 O
```